# Ce4AlSb
Theoretical X-ray diffraction stick pattern, λ = 1.5418 Å (Cu Kα). Input: DFT lattice parameters and positions (GGA-PBE).
Peak positions follow from Bragg's law for the DFT cell and can differ from measured ones.

Structural model:
Cell: 3.1523 5.0940 9.0061 Å, 90.00 90.00 90.00°
Atoms (fractional coordinates):
Ce: 0.0000 0.0000 0.1633
Ce: 0.0000 0.0000 0.8367
Ce: 0.0000 0.5000 0.3220
Ce: 0.0000 0.5000 0.6780
Al: 0.5000 0.5000 0.0000
Sb: 0.5000 0.0000 0.5000

Most intense lines, 2θ = 10–80°, in order of rising 2θ:
- (1 0 0), 28.31 deg, I 21
- (0 1 3), 34.70 deg, I 100
- (1 1 1), 34.92 deg, I 49
- (0 2 0), 35.24 deg, I 35
- (1 1 3), 45.36 deg, I 22
- (1 2 2), 50.32 deg, I 20